Structure and calculated powder XRD pattern of K6W2N4O3 (the GGA+U geometry in Alexandria; Cu Kα, 1.54184 Å).

Structural model:
```
data_K6W2N4O3
_symmetry_space_group_name_H-M 'P 1 21/c 1'
_symmetry_Int_Tables_number 14
_cell_length_a 6.8322
_cell_length_b 9.7063
_cell_length_c 11.7785
_cell_angle_alpha 90.00
_cell_angle_beta 123.22
_cell_angle_gamma 90.00
loop_
_symmetry_equiv_pos_as_xyz
'x,y,z'
'-x,-y,-z'
'-x,y+1/2,-z+1/2'
'x,-y+1/2,z+1/2'
loop_
_atom_site_label
_atom_site_fract_x
_atom_site_fract_y
_atom_site_fract_z
K1 0.0491 0.1598 0.4338
K2 0.2044 0.5278 0.4537
K3 0.4041 0.2205 0.2809
W1 0.3107 0.6448 0.8664
N1 0.0472 0.6789 0.8667
N2 0.4953 0.7018 0.4237
O1 0.2313 0.6010 0.6896
O2 0.5000 0.0000 0.5000
```

Most intense lines, 2θ from 10° to 90°, low angle first:
d/Å, Rel. int., (hkl)
5.584, 100, 1 1 -1
5.513, 85, 1 0 -2
4.925, 91, 1 1 0
4.393, 72, 0 1 2
4.354, 64, 0 2 1
3.074, 62, 0 3 1
3.051, 78, 1 2 -3
3.005, 61, 1 0 2
2.793, 75, 1 1 -4
2.708, 78, 2 2 -1